# BaHf2MoO8
Theoretical powder X-ray diffraction pattern, a wavelength of 1.5418 Å. Input: DFT lattice parameters and positions (GGA+U).
Neutral-atom scattering factors, no anomalous dispersion.

Peak list (12 most intense, 15° ≤ 2θ ≤ 90°, sorted by position)
2θ (°)	I/Imax
20.17	28
22.22	100
23.16	26
27.33	75
28.72	99
32.56	77
35.50	34
36.14	34
47.84	19
48.69	25
49.16	36
51.71	29

Structural model:
```
BaHf2MoO8
1.0
4.0870 -3.2628 0.0000
4.0870 3.2628 0.0000
-1.4911 0.0000 7.1279
Ba Hf Mo O
1 2 1 8
Cartesian
0.0000 0.0000 0.0000
2.4949 0.0000 5.5089
4.1880 0.0000 1.6189
-0.7455 0.0000 3.5639
3.0177 1.8610 4.9261
3.6652 1.8610 2.2018
1.0772 0.0000 4.0391
1.3131 0.0000 7.0924
5.3698 0.0000 0.0355
5.6057 0.0000 3.0888
3.0177 -1.8610 4.9261
3.6652 -1.8610 2.2018
```